[1]
This entry pairs a crystal structure of TiMn5P6O24 with its computed X-ray diffraction stick pattern. Radiation: Cu Ka. Structure: a structure optimized by DFT (GGA+U).

Structure:
abc: 8.491 8.556 8.639
angles: 119.59 118.71 90.11
Space group P1 (No. 1)
Inequivalent atoms, fractional coordinates:
Ti  0.000  0.000  0.000
Mn  0.368  0.787  0.576
Mn  0.435  0.142  0.290
Mn  0.505  0.496  0.995
Mn  0.870  0.288  0.582
Mn  0.936  0.640  0.289
P  0.185  0.098  0.493
P  0.189  0.683  0.790
P  0.193  0.398  0.089
P  0.671  0.178  0.069
P  0.681  0.599  0.784
P  0.695  0.898  0.507
O  0.000  0.130  0.470
O  0.007  0.523  0.664
O  0.013  0.349  0.886
O  0.172  0.901  0.469
O  0.178  0.697  0.610
O  0.180  0.565  0.273
O  0.188  0.064  0.299
O  0.191  0.878  0.954
O  0.200  0.232  0.121
O  0.364  0.253  0.694
O  0.370  0.654  0.922
O  0.377  0.450  0.110
O  0.497  0.022  0.850
O  0.499  0.633  0.661
O  0.506  0.828  0.471
O  0.649  0.195  0.242
O  0.673  0.406  0.611
O  0.677  0.065  0.477
O  0.697  0.374  0.096
O  0.699  0.591  0.967
O  0.728  0.742  0.346
O  0.856  0.135  0.096
O  0.859  0.760  0.896
O  0.864  0.969  0.734

Largest 8 diffraction maxima, sorted by position, 10 to 90 degrees two-theta:
hkl 1 1 -2, 20.6 deg, I = 100
hkl 0 2 -1, 20.8 deg, I = 49
hkl 1 -2 1, 24.3 deg, I = 64
hkl 2 1 -2, 24.6 deg, I = 64
hkl 1 1 1, 32.1 deg, I = 61
hkl 2 -2 1, 32.9 deg, I = 46
hkl 3 1 -2, 33.3 deg, I = 40
hkl 1 -3 0, 36.3 deg, I = 44


[2]
This entry pairs a crystal structure of TiMn3P6O24 with its computed X-ray diffraction stick pattern. Radiation: Cu Ka. Structure: a structure optimized by DFT (GGA+U).

Structure:
abc: 8.5252 8.5252 21.7300
angles: 90.00 90.00 120.00
Space group R3 (No. 146, hexagonal axes)
Inequivalent atoms, fractional coordinates:
Ti  0.0000  0.0000  0.0000
Mn  0.0000  0.0000  0.2848
Mn  0.0000  0.0000  0.4957
Mn  0.0000  0.0000  0.7849
P  0.0005  0.2863  0.8895
P  0.0058  0.7214  0.3910
O  0.0262  0.1901  0.5508
O  0.0290  0.8300  0.0502
O  0.0347  0.2054  0.8307
O  0.0384  0.8349  0.3319
O  0.1628  0.4674  0.6136
O  0.1650  0.6984  0.1160
O  0.1704  0.4776  0.8945
O  0.1756  0.7021  0.3959

Largest 8 diffraction maxima, sorted by position, 10 to 90 degrees two-theta:
hkl 0 1 2, 14.5 deg, I = 44
hkl 1 0 4, 20.3 deg, I = 55
hkl 1 1 0, 20.8 deg, I = 27
hkl 2 -1 3, 24.2 deg, I = 100
hkl 0 2 4, 29.2 deg, I = 48
hkl 2 -1 6, 32.4 deg, I = 48
hkl 3 0 0, 36.5 deg, I = 12
hkl 3 -1 10, 53.4 deg, I = 13


[3]
This entry pairs a crystal structure of Ti3MnP6O24 with its computed X-ray diffraction stick pattern. Radiation: Cu Ka. Structure: a structure optimized by DFT (GGA+U).

Structure:
abc: 8.6010 8.6010 21.8508
angles: 90.00 90.00 120.00
Space group R3 (No. 146, hexagonal axes)
Inequivalent atoms, fractional coordinates:
Ti  0.0000  0.0000  0.0000
Ti  0.0000  0.0000  0.2189
Ti  0.0000  0.0000  0.4998
Mn  0.0000  0.0000  0.7150
P  0.0504  0.6729  0.7754
P  0.0535  0.3857  0.2769
O  0.0241  0.8278  0.0521
O  0.0268  0.1943  0.5530
O  0.0303  0.8404  0.7695
O  0.0325  0.1981  0.2694
O  0.1608  0.6899  0.1165
O  0.1651  0.4673  0.6178
O  0.1648  0.6984  0.8328
O  0.1675  0.4671  0.3349

Largest 8 diffraction maxima, sorted by position, 10 to 90 degrees two-theta:
hkl 0 1 2, 14.4 deg, I = 42
hkl 1 0 4, 20.2 deg, I = 48
hkl 1 1 0, 20.7 deg, I = 21
hkl 1 1 3, 24.0 deg, I = 100
hkl 0 2 4, 29.0 deg, I = 41
hkl 2 1 1, 32.1 deg, I = 15
hkl 1 1 6, 32.2 deg, I = 27
hkl 2 1 10, 53.1 deg, I = 11


[4]
This entry pairs a crystal structure of TiMn5P6O24 with its computed X-ray diffraction stick pattern. Radiation: Cu Ka. Structure: a structure optimized by DFT (GGA+U).

Structure:
abc: 8.6234 8.6234 21.1876
angles: 90.00 90.00 120.00
Space group R3 (No. 146, hexagonal axes)
Inequivalent atoms, fractional coordinates:
Ti  0.0000  0.0000  0.0000
Mn  0.0000  0.0000  0.2109
Mn  0.0000  0.0000  0.3545
Mn  0.0000  0.0000  0.4994
Mn  0.0000  0.0000  0.7104
Mn  0.0000  0.0000  0.8548
P  0.0406  0.3729  0.7724
P  0.0427  0.6677  0.2717
O  0.0045  0.8042  0.5440
O  0.0200  0.8359  0.2771
O  0.0208  0.1834  0.7758
O  0.1377  0.4638  0.8331
O  0.1408  0.6731  0.3325
O  0.1465  0.4776  0.7130
O  0.1692  0.4796  0.0983
O  0.1685  0.6855  0.6021

Largest 8 diffraction maxima, sorted by position, 10 to 90 degrees two-theta:
hkl 1 1 0, 20.6 deg, I = 83
hkl 1 1 3, 24.2 deg, I = 100
hkl 2 -1 6, 32.8 deg, I = 73
hkl 3 0 0, 36.1 deg, I = 33
hkl 3 -2 8, 47.1 deg, I = 28
hkl 4 -2 6, 49.5 deg, I = 26
hkl 4 1 0, 56.5 deg, I = 23
hkl 5 -1 6, 62.8 deg, I = 19